Structure and computed PXRD pattern of SmGdNi (a DFT-relaxed cell (PBE, OQMD); a wavelength of 1.5418 Å).
Neutral-atom scattering factors, no anomalous dispersion.

Atomic structure:
Cell: 4.7884 4.7884 4.7884 Å, 60.00 60.00 60.00°
Positions (direct):
Sm 0.0000 0.0000 0.0000
Gd 0.5000 0.5000 0.5000
Ni 0.7500 0.7500 0.7500

Most intense lines, 15 to 90 degrees two-theta, in order of falling intensity:
d 2.394, 37.57 deg, I = 100; d 3.386, 26.32 deg, I = 53; d 1.382, 67.80 deg, I = 35; d 1.514, 61.21 deg, I = 21; d 1.693, 54.18 deg, I = 17; d 1.955, 46.45 deg, I = 15; d 1.197, 80.18 deg, I = 11; d 1.129, 86.17 deg, I = 10; d 3.910, 22.74 deg, I = 8; d 2.042, 44.37 deg, I = 4; d 1.554, 59.50 deg, I = 2; d 1.303, 72.53 deg, I = 1